Entry 1:
Simulated powder diffraction line list of Ca3Sb5 for Cu Kα X-rays, from a cell relaxed with PBE.
Kinematic intensities with the Lorentz-polarization factor, no thermal factor.

Main lines, low angle first (2θ from 10° to 90°):
d [Å], I_rel
4.454, 8
3.876, 12
2.783, 100
2.605, 8
2.273, 24
1.849, 5
1.760, 17
1.607, 18
1.392, 27
1.136, 9

Structure:
a b c (Å): 4.546 4.546 22.256
angles (deg): 90.00 90.00 90.00
Space group I-4m2 (No. 119)
Inequivalent atoms, fractional coordinates:
Ca1 0.000 0.000 0.000
Ca2 0.000 0.500 0.142
Sb1 0.000 0.000 0.253
Sb2 0.000 0.000 0.500
Sb3 0.000 0.500 0.613

---

Entry 2:
Simulated powder diffraction line list of ThAlCuPt3 for Cu Kα X-rays, from a cell relaxed with PBE.
Kinematic intensities with the Lorentz-polarization factor, no thermal factor.

Main lines, low angle first (2θ from 10° to 90°):
d [Å], I_rel
4.394, 33
2.850, 52
2.712, 100
2.603, 89
2.197, 37
2.163, 28
2.138, 31
2.058, 86
2.013, 37
1.492, 50

Structure:
a b c (Å): 5.684 12.978 5.971
angles (deg): 90.00 90.00 90.00
Space group Cmcm (No. 63)
Inequivalent atoms, fractional coordinates:
Th1 0.000 0.178 0.250
Al1 0.000 0.115 0.750
Cu1 0.000 0.384 0.250
Pt1 0.000 0.308 0.750
Pt2 0.246 0.500 0.000

---

Entry 3:
Simulated powder diffraction line list of Ac2Sm5Ho12 for Cu Kα X-rays, from a cell relaxed with PBE.
Kinematic intensities with the Lorentz-polarization factor, no thermal factor.

Main lines, low angle first (2θ from 10° to 90°):
d [Å], I_rel
2.992, 27
2.867, 29
2.843, 100
2.832, 31
2.738, 8
2.073, 9
2.047, 9
1.969, 10
1.653, 7
1.636, 11

Structure:
a b c (Å): 6.760 8.859 11.935
angles (deg): 77.13 76.80 67.60
Space group P-1 (No. 2)
Inequivalent atoms, fractional coordinates:
Ac1 0.180 0.041 0.364
Sm1 0.069 0.294 0.040
Sm2 0.222 0.572 0.497
Sm3 0.500 0.500 0.000
Ho1 0.113 0.888 0.125
Ho2 0.117 0.499 0.243
Ho3 0.244 0.174 0.618
Ho4 0.401 0.762 0.669
Ho5 0.430 0.365 0.763
Ho6 0.430 0.964 0.881

---

Entry 4:
Simulated powder diffraction line list of La3PmAg3 for Cu Kα X-rays, from a cell relaxed with PBE.
Kinematic intensities with the Lorentz-polarization factor, no thermal factor.

Main lines, low angle first (2θ from 10° to 90°):
d [Å], I_rel
3.260, 41
3.080, 80
3.041, 61
3.000, 59
2.705, 57
2.667, 34
2.623, 33
2.596, 100
2.480, 40
2.394, 76

Structure:
a b c (Å): 10.670 10.820 7.183
angles (deg): 90.00 90.85 90.00
Space group C2/m (No. 12)
Inequivalent atoms, fractional coordinates:
La1 0.000 0.184 0.000
La2 0.000 0.291 0.500
La3 0.142 0.500 0.082
Pm1 0.237 0.000 0.378
Ag1 0.062 0.000 0.687
Ag2 0.240 0.227 0.731

---

Entry 5:
Simulated powder diffraction line list of PuTh2As3Rh4 for Cu Kα X-rays, from a cell relaxed with PBE.
Kinematic intensities with the Lorentz-polarization factor, no thermal factor.

Main lines, low angle first (2θ from 10° to 90°):
d [Å], I_rel
3.905, 11
2.807, 33
2.613, 100
2.353, 14
2.078, 42
2.001, 18
1.670, 15
1.469, 14
1.441, 12
1.281, 22

Structure:
a b c (Å): 4.155 4.155 11.419
angles (deg): 90.00 90.00 90.00
Space group P-4m2 (No. 115)
Inequivalent atoms, fractional coordinates:
Pu1 0.000 0.000 0.000
Th1 0.000 0.500 0.726
As1 0.000 0.500 0.374
As2 0.500 0.500 0.000
Rh1 0.000 0.000 0.500
Rh2 0.000 0.500 0.162
Rh3 0.500 0.500 0.500

---

Entry 6:
Simulated powder diffraction line list of PmSm3Sb for Cu Kα X-rays, from a cell relaxed with PBE.
Kinematic intensities with the Lorentz-polarization factor, no thermal factor.

Main lines, low angle first (2θ from 10° to 90°):
d [Å], I_rel
4.372, 38
3.246, 62
3.126, 75
2.994, 32
2.823, 100
2.640, 71
2.544, 43
2.405, 30
1.928, 66
1.540, 30

Structure:
a b c (Å): 8.231 15.517 5.280
angles (deg): 90.00 90.00 90.00
Space group Cmmm (No. 65)
Inequivalent atoms, fractional coordinates:
Pm1 0.000 0.092 0.000
Sm1 0.000 0.158 0.500
Sm2 0.174 0.500 0.000
Sm3 0.250 0.250 0.000
Sb1 0.000 0.362 0.500

---

Entry 7:
Simulated powder diffraction line list of Sb6Ir2Rh for Cu Kα X-rays, from a cell relaxed with PBE.
Kinematic intensities with the Lorentz-polarization factor, no thermal factor.

Main lines, low angle first (2θ from 10° to 90°):
d [Å], I_rel
4.301, 93
3.401, 20
2.969, 100
2.720, 35
2.267, 100
2.150, 42
2.052, 30
1.818, 67
1.484, 25
1.222, 21

Structure:
a b c (Å): 6.082 6.082 12.309
angles (deg): 90.00 90.00 90.00
Space group P4_2/mnm (No. 136)
Inequivalent atoms, fractional coordinates:
Sb1 0.197 0.197 0.166
Sb2 0.198 0.198 0.500
Ir1 0.000 0.000 0.333
Rh1 0.000 0.000 0.000

---

Entry 8:
Simulated powder diffraction line list of NbGa2AgSn for Cu Kα X-rays, from a cell relaxed with PBE.
Kinematic intensities with the Lorentz-polarization factor, no thermal factor.

Main lines, low angle first (2θ from 10° to 90°):
d [Å], I_rel
4.739, 49
3.351, 38
2.874, 95
2.794, 80
2.369, 100
1.807, 87
1.675, 34
1.447, 24
1.437, 40
1.203, 22

Structure:
a b c (Å): 4.739 4.739 5.588
angles (deg): 90.00 90.00 90.00
Space group P4/mmm (No. 123)
Inequivalent atoms, fractional coordinates:
Nb1 0.000 0.000 0.000
Ga1 0.000 0.500 0.500
Ag1 0.500 0.500 0.500
Sn1 0.500 0.500 0.000